Record 1
Starting from a crystal structure in Alexandria, relaxed with GGA-PBE, the powder XRD pattern of Zn6PdPt was simulated for Cu Ka.

The 6 most intense peaks (2θ from 10° to 90°), low angle first:
- 39.25 deg, rel. 100.0
- 41.21 deg, rel. 87.0
- 45.70 deg, rel. 64.3
- 48.95 deg, rel. 26.2
- 69.20 deg, rel. 36.6
- 78.86 deg, rel. 24.4

Atomic structure:
```
Zn6PdPt
1.0
0.0000 3.7212 5.4203
2.9161 0.0000 5.4203
2.9161 3.7212 0.0000
Zn Pd Pt
6 1 1
direct
0.1238 0.1238 0.3762
0.2493 0.2493 0.7507
0.3762 0.3762 0.1238
0.6238 0.6238 0.8762
0.7507 0.7507 0.2493
0.8762 0.8762 0.6238
0.5000 0.5000 0.5000
0.0000 0.0000 0.0000
```

Record 2
Starting from a crystal structure in Alexandria, relaxed with GGA-PBE, the powder XRD pattern of CaBeSe3 was simulated for Cu Ka.

The 6 most intense peaks (2θ from 10° to 90°), low angle first:
- 18.73 deg, rel. 7.7
- 32.74 deg, rel. 100.0
- 37.98 deg, rel. 54.0
- 54.80 deg, rel. 36.0
- 65.32 deg, rel. 38.5
- 68.61 deg, rel. 12.1

Atomic structure:
```
CaBeSe3
1.0
4.7383 0.0000 0.0000
0.0000 4.7383 0.0000
0.0000 0.0000 4.7383
Ca Be Se
1 1 3
direct
0.0000 0.0000 0.0000
0.5000 0.5000 0.5000
0.0000 0.5000 0.5000
0.5000 0.0000 0.5000
0.5000 0.5000 0.0000
```

Record 3
Starting from a crystal structure in Alexandria, relaxed with GGA-PBE, the powder XRD pattern of K2SeO was simulated for Cu Ka.

The 6 most intense peaks (2θ from 10° to 90°), low angle first:
- 23.21 deg, rel. 45.7
- 29.28 deg, rel. 96.5
- 29.94 deg, rel. 51.8
- 30.09 deg, rel. 54.5
- 32.26 deg, rel. 100.0
- 42.96 deg, rel. 51.5

Atomic structure:
```
K2SeO
1.0
2.9847 -4.7006 0.0000
2.9847 4.7006 0.0000
-0.0196 0.0000 7.6631
K Se O
4 2 2
direct
0.0001 0.9999 0.0000
0.9999 0.0001 0.5000
0.3288 0.6528 0.2516
0.6528 0.3288 0.7516
0.2955 0.6654 0.7494
0.6654 0.2955 0.2494
0.6630 0.8258 0.7493
0.8258 0.6630 0.2493
```

Record 4
Starting from a crystal structure in Alexandria, relaxed with GGA-PBE, the powder XRD pattern of GaBi2S4 was simulated for Cu Ka.

The 6 most intense peaks (2θ from 10° to 90°), low angle first:
- 13.47 deg, rel. 48.2
- 25.99 deg, rel. 100.0
- 27.14 deg, rel. 33.7
- 31.52 deg, rel. 68.5
- 44.99 deg, rel. 43.6
- 45.37 deg, rel. 42.5

Atomic structure:
```
GaBi2S4
1.0
6.9766 -4.0312 0.0000
6.9766 4.0312 0.0000
-4.6604 0.0000 13.0061
Ga Bi S
4 8 16
direct
0.0624 0.5615 0.6855
0.4385 0.9376 0.8145
0.5615 0.0624 0.1855
0.9376 0.4385 0.3145
0.0000 0.0000 0.0000
0.0000 0.0000 0.5000
0.0000 0.5000 0.0000
0.2493 0.7507 0.2500
0.5000 0.0000 0.5000
0.5000 0.5000 0.0000
0.5000 0.5000 0.5000
0.7507 0.2493 0.7500
0.1200 0.1334 0.3735
0.1203 0.6205 0.3733
0.1236 0.6234 0.8704
0.1334 0.1200 0.8735
0.3677 0.3795 0.6267
0.3766 0.8764 0.6296
0.3795 0.3677 0.1267
0.3795 0.8797 0.1267
0.6205 0.1203 0.8733
0.6205 0.6323 0.8733
0.6234 0.1236 0.3704
0.6323 0.6205 0.3733
0.8666 0.8800 0.1265
0.8764 0.3766 0.1296
0.8797 0.3795 0.6267
0.8800 0.8666 0.6265
```

Record 5
Starting from a crystal structure in Alexandria, relaxed with GGA-PBE, the powder XRD pattern of Cs3K4Rb3Hg2 was simulated for Cu Ka.

The 6 most intense peaks (2θ from 10° to 90°), low angle first:
- 16.82 deg, rel. 58.2
- 17.13 deg, rel. 100.0
- 17.77 deg, rel. 92.1
- 22.91 deg, rel. 66.6
- 24.80 deg, rel. 63.8
- 25.65 deg, rel. 62.0

Atomic structure:
```
Cs3K4Rb3Hg2
1.0
-3.5894 19.4084 3.4723
3.5894 -19.4084 3.4723
3.5894 19.4084 -3.4723
Cs K Rb Hg
3 4 3 2
direct
0.0000 0.0000 0.0000
0.1949 0.0013 0.1936
0.8077 0.0013 0.8064
0.0982 0.5011 0.5972
0.3171 0.0014 0.3157
0.6858 0.0014 0.6843
0.9039 0.5011 0.4028
0.4036 0.5004 0.9031
0.4999 0.9999 0.5000
0.5973 0.5004 0.0969
0.4069 0.0012 0.4058
0.5954 0.0012 0.5942
```